No. 1
The following is a computed X-ray powder pattern of CuSiAgHgS4. It was derived from a cell relaxed with PBE, using Cu Kα (weighted mean of Kα1 and Kα2).
Lines closer than 0.1° are merged.

Cell and atoms:
Cell: 6.6984 6.6984 6.6984 Å, 130.55 130.55 72.53°
Sites, in units of the cell vectors:
Cu 0.0000 0.0000 0.0000
Si 0.2500 0.7500 0.5000
Ag 0.5000 0.5000 0.0000
Hg 0.7500 0.2500 0.5000
S 0.1392 0.0691 0.4637
S 0.3245 0.8608 0.9299
S 0.6055 0.6755 0.5363
S 0.9309 0.3945 0.0701

Most intense lines, 10 to 90 degrees two-theta, low angle first:
Position (°2θ), intensity
17.83, 34
27.93, 100
29.49, 18
31.94, 16
36.82, 21
45.80, 18
46.72, 35
54.50, 29
56.11, 14
75.27, 15

=====

No. 2
The following is a computed X-ray powder pattern of CuSiAgHgSe4. It was derived from a cell relaxed with PBE, using Cu Kα (weighted mean of Kα1 and Kα2).
Lines closer than 0.1° are merged.

Cell and atoms:
Cell: 7.0354 7.0354 7.0354 Å, 130.09 130.09 73.26°
Sites, in units of the cell vectors:
Cu 0.0000 0.0000 0.0000
Si 0.2500 0.7500 0.5000
Ag 0.5000 0.5000 0.0000
Hg 0.7500 0.2500 0.5000
Se 0.1405 0.6723 0.0613
Se 0.3277 0.3889 0.4681
Se 0.6111 0.0792 0.9387
Se 0.9208 0.8595 0.5319

Most intense lines, 10 to 90 degrees two-theta, low angle first:
Position (°2θ), intensity
16.87, 17
26.46, 100
28.07, 16
34.71, 22
43.10, 23
44.28, 46
51.29, 28
53.33, 17
70.88, 15
79.85, 12

=====

No. 3
The following is a computed X-ray powder pattern of Ho2CuAgSb4. It was derived from a cell relaxed with PBE, using Cu Kα (weighted mean of Kα1 and Kα2).
Lines closer than 0.1° are merged.

Cell and atoms:
Cell: 4.3230 4.3230 10.0704 Å, 90.00 90.00 90.00°
Sites, in units of the cell vectors:
Ho 0.0000 0.5000 0.2424
Ho 0.5000 0.0000 0.7576
Cu 0.0000 0.0000 0.5000
Ag 0.5000 0.5000 0.5000
Sb 0.0000 0.0000 0.0000
Sb 0.0000 0.5000 0.6774
Sb 0.5000 0.0000 0.3226
Sb 0.5000 0.5000 0.0000

Most intense lines, 10 to 90 degrees two-theta, low angle first:
Position (°2θ), intensity
27.19, 12
33.81, 10
34.32, 100
35.66, 13
41.79, 35
49.96, 10
56.08, 14
60.58, 12
67.11, 8
71.51, 23

=====

No. 4
The following is a computed X-ray powder pattern of CuAg2I4. It was derived from a cell relaxed with PBE, using Cu Kα (weighted mean of Kα1 and Kα2).
Lines closer than 0.1° are merged.

Cell and atoms:
Cell: 7.7013 7.7013 7.7013 Å, 132.10 132.10 70.07°
Sites, in units of the cell vectors:
Cu 0.0000 0.0000 0.0000
Ag 0.2500 0.7500 0.5000
Ag 0.5000 0.5000 0.0000
I 0.0953 0.1239 0.4682
I 0.3729 0.9047 0.0286
I 0.6557 0.6271 0.5318
I 0.8761 0.3443 0.9714

Most intense lines, 10 to 90 degrees two-theta, low angle first:
Position (°2θ), intensity
24.59, 100
25.53, 7
32.81, 10
40.64, 48
40.82, 23
47.92, 16
48.24, 28
64.73, 11
73.83, 7
74.20, 13

=====

No. 5
The following is a computed X-ray powder pattern of Li2Sc2In2CuAg. It was derived from a cell relaxed with PBE, using Cu Kα (weighted mean of Kα1 and Kα2).
Lines closer than 0.1° are merged.

Cell and atoms:
Cell: 4.6280 4.6280 6.6033 Å, 90.00 90.00 90.00°
Sites, in units of the cell vectors:
Li 0.0000 0.0000 0.0000
Li 0.5000 0.5000 0.5000
Sc 0.0000 0.5000 0.7393
Sc 0.5000 0.0000 0.2607
In 0.0000 0.5000 0.2594
In 0.5000 0.0000 0.7406
Cu 0.0000 0.0000 0.5000
Ag 0.5000 0.5000 0.0000

Most intense lines, 10 to 90 degrees two-theta, low angle first:
Position (°2θ), intensity
23.47, 70
38.74, 100
38.92, 50
45.64, 12
45.95, 23
56.22, 16
61.50, 9
70.01, 16
70.37, 31
83.11, 10

=====

No. 6
The following is a computed X-ray powder pattern of Tb3In3CuAgPt. It was derived from a cell relaxed with PBE, using Cu Kα (weighted mean of Kα1 and Kα2).
Lines closer than 0.1° are merged.

Cell and atoms:
Cell: 7.7827 7.7827 3.8448 Å, 90.00 90.00 120.00°
Sites, in units of the cell vectors:
Tb 0.0199 0.6023 0.0000
Tb 0.3977 0.4177 0.0000
Tb 0.5823 0.9801 0.0000
In 0.2542 0.0074 0.5000
In 0.7532 0.7458 0.5000
In 0.9926 0.2468 0.5000
Cu 0.0000 0.0000 0.0000
Ag 0.6667 0.3333 0.5000
Pt 0.3333 0.6667 0.5000

Most intense lines, 10 to 90 degrees two-theta, low angle first:
Position (°2θ), intensity
13.14, 16
32.74, 100
35.23, 54
35.42, 80
40.14, 34
42.57, 26
47.28, 21
60.32, 22
63.71, 17
65.01, 28

=====

No. 7
The following is a computed X-ray powder pattern of TbTm2In3CuAg2. It was derived from a cell relaxed with PBE, using Cu Kα (weighted mean of Kα1 and Kα2).
Lines closer than 0.1° are merged.

Cell and atoms:
Cell: 3.8535 7.7868 7.7868 Å, 120.23 90.00 90.00°
Sites, in units of the cell vectors:
Tb 0.0000 0.0000 0.0000
Tm 0.0000 0.4022 0.8034
Tm 0.0000 0.8034 0.4022
In 0.5000 0.1504 0.4038
In 0.5000 0.4038 0.1504
In 0.5000 0.6546 0.6546
Cu 0.0000 0.4036 0.4036
Ag 0.5000 0.0704 0.7332
Ag 0.5000 0.7332 0.0704

Most intense lines, 10 to 90 degrees two-theta, low angle first:
Position (°2θ), intensity
32.72, 100
35.21, 32
35.39, 81
40.07, 11
40.21, 22
42.53, 11
47.17, 19
54.64, 11
60.24, 20
64.96, 17

=====

No. 8
The following is a computed X-ray powder pattern of Tm3In3CuAg2. It was derived from a cell relaxed with PBE, using Cu Kα (weighted mean of Kα1 and Kα2).
Lines closer than 0.1° are merged.

Cell and atoms:
Cell: 7.7476 7.7476 3.8422 Å, 90.00 90.00 120.00°
Sites, in units of the cell vectors:
Tm 0.0000 0.4018 0.0000
Tm 0.4018 0.0000 0.0000
Tm 0.5982 0.5982 0.0000
In 0.0000 0.7475 0.5000
In 0.2525 0.2525 0.5000
In 0.7475 0.0000 0.5000
Cu 0.0000 0.0000 0.0000
Ag 0.3333 0.6667 0.5000
Ag 0.6667 0.3333 0.5000

Most intense lines, 10 to 90 degrees two-theta, low angle first:
Position (°2θ), intensity
32.83, 100
35.40, 48
35.52, 65
40.33, 32
42.72, 16
47.32, 19
54.81, 19
60.46, 20
63.88, 16
65.30, 25